For CrRh2O4, the PBE+U geometry in Alexandria gives the simulated powder XRD pattern in this record (CuKα).
Lines closer than 0.1° are merged.

Crystal structure
Cell: 6.012 6.012 6.012 Å, 115.38 115.38 98.21°
Sites, in units of the cell vectors:
Cr (0.375, 0.625, 0.750)
Cr (0.625, 0.375, 0.250)
Rh (0.000, 0.000, 0.000)
Rh (0.000, 0.000, 0.500)
Rh (0.000, 0.500, 0.000)
Rh (0.500, 0.000, 0.500)
O (0.194, 0.738, 0.456)
O (0.219, 0.262, 0.956)
O (0.262, 0.219, 0.456)
O (0.262, 0.806, 0.044)
O (0.738, 0.194, 0.956)
O (0.738, 0.781, 0.544)
O (0.781, 0.738, 0.044)
O (0.806, 0.262, 0.544)

Main lines, low angle first (10 to 90 degrees two-theta):
2θ 17.82, rel. 74
2θ 33.18, rel. 100
2θ 36.08, rel. 51
2θ 37.00, rel. 54
2θ 39.66, rel. 39
2θ 52.64, rel. 39
2θ 57.34, rel. 26
2θ 62.43, rel. 41